# 1
For Tm3Bi4, a crystal structure in Alexandria, relaxed with GGA-PBE gives the calculated X-ray powder pattern in this record (CuKα).
Peak positions follow from Bragg's law for the DFT cell and can differ from measured ones.

Main lines, by angle (10° ≤ 2θ ≤ 80°):
| d (Å) | 2θ/deg | intensity |
| --- | --- | --- |
| 3.457 | 25.8 | 22 |
| 3.020 | 29.6 | 100 |
| 2.359 | 38.2 | 34 |
| 2.231 | 40.4 | 56 |
| 2.051 | 44.2 | 15 |
| 1.794 | 50.9 | 23 |
| 1.621 | 56.8 | 11 |
| 1.421 | 65.7 | 25 |
| 1.398 | 66.9 | 20 |
| 1.311 | 72.0 | 11 |

Crystal structure
```
Tm3Bi4
1.0
2.231 1.288 12.907
-2.231 1.288 12.907
0.000 -2.576 12.907
Tm Bi
3 4
Direct
0.000 0.000 0.000 Tm
0.241 0.241 0.241 Tm
0.759 0.759 0.759 Tm
0.140 0.140 0.140 Bi
0.380 0.380 0.380 Bi
0.620 0.620 0.620 Bi
0.860 0.860 0.860 Bi
```

***

# 2
For AcCd6Hg12, a crystal structure in Alexandria, relaxed with GGA-PBE gives the calculated X-ray powder pattern in this record (CuKα).
Peak positions follow from Bragg's law for the DFT cell and can differ from measured ones.

Main lines, by angle (10° ≤ 2θ ≤ 80°):
| d (Å) | 2θ/deg | intensity |
| --- | --- | --- |
| 3.209 | 27.8 | 4 |
| 2.727 | 32.8 | 100 |
| 2.624 | 34.2 | 30 |
| 2.338 | 38.5 | 64 |
| 1.678 | 54.7 | 22 |
| 1.629 | 56.5 | 19 |
| 1.429 | 65.3 | 12 |
| 1.414 | 66.1 | 23 |
| 1.384 | 67.7 | 11 |
| 1.363 | 68.9 | 11 |

Crystal structure
```
AcCd6Hg12
1.0
7.315 4.223 2.624
-7.315 4.223 2.624
0.000 -8.446 2.624
Ac Cd Hg
1 6 12
Direct
0.000 0.000 0.000 Ac
0.039 0.345 0.554 Cd
0.345 0.554 0.039 Cd
0.446 0.961 0.655 Cd
0.554 0.039 0.345 Cd
0.655 0.446 0.961 Cd
0.961 0.655 0.446 Cd
0.111 0.741 0.186 Hg
0.186 0.111 0.741 Hg
0.213 0.492 0.331 Hg
0.259 0.814 0.889 Hg
0.331 0.213 0.492 Hg
0.492 0.331 0.213 Hg
0.508 0.669 0.787 Hg
0.669 0.787 0.508 Hg
0.741 0.186 0.111 Hg
0.787 0.508 0.669 Hg
0.814 0.889 0.259 Hg
0.889 0.259 0.814 Hg
```